Diffraction record for NbTe2Au3Se2. The powder X-ray diffraction pattern is simulated, not measured: it uses a cell relaxed with PBE and Cu Ka.

```
data_NbTe2Au3Se2
_chemical_formula_sum 'Nb2 Te4 Au6 Se4'
_cell_length_a 8.5252
_cell_length_b 8.8479
_cell_length_c 6.1253
_cell_angle_alpha 90.00
_cell_angle_beta 90.00
_cell_angle_gamma 90.00
_symmetry_space_group_name_H-M 'C m m 2'
_symmetry_Int_Tables_number 35
_symmetry_space_group_name_Hall 'C 2 -2'
loop_
_atom_site_label
_atom_site_type_symbol
_atom_site_fract_x
_atom_site_fract_y
_atom_site_fract_z
Nb1 Nb 0.0000 0.0000 0.0000
Te1 Te 0.2336 0.5000 0.7392
Au1 Au 0.0000 0.0000 0.5034
Au2 Au 0.2500 0.2500 0.9921
Se1 Se 0.0000 0.2315 0.2361
```

Principal peaks in the range 2θ from 10° to 90°, by angle:
(hkl)	d_spacing	I (rel.)
0 0 1	6.134	76
0 2 1	3.586	71
2 0 1	3.499	61
2 2 1	2.742	30
0 4 0	2.212	26
2 2 2	2.168	100
4 0 0	2.131	23
2 4 1	1.870	21
4 2 1	1.832	21
4 4 0	1.535	16
2 6 2	1.268	17
6 2 2	1.237	15